Entry 1:
This entry pairs a crystal structure of Y3RhF with its computed XRD peak list. Radiation: λ = 1.5418 Å (Cu Kα). Structure: a GGA-PBE-relaxed structure.

Principal peaks in the range 2θ from 10° to 80°, in order of rising 2θ:
d 3.355, I 3
d 2.739, I 100
d 2.372, I 61
d 1.677, I 41
d 1.430, I 39
d 1.369, I 13

Structure:
Cell lengths 4.7440, 4.7440, 4.7440 Å; angles 90.00, 90.00, 90.00 degrees
Space group Pm-3m (No. 221)
Inequivalent atoms, fractional coordinates:
Y (0.0000, 0.0000, 0.5000)
Rh (0.5000, 0.5000, 0.5000)
F (0.0000, 0.0000, 0.0000)

=====

Entry 2:
This entry pairs a crystal structure of ZnRhF3 with its computed XRD peak list. Radiation: λ = 1.5418 Å (Cu Kα). Structure: a GGA-PBE-relaxed structure.

Principal peaks in the range 2θ from 10° to 80°, in order of rising 2θ:
d 4.193, I 15
d 2.965, I 100
d 2.096, I 41
d 1.712, I 40
d 1.482, I 24
d 1.326, I 17

Structure:
Cell lengths 4.1926, 4.1926, 4.1926 Å; angles 90.00, 90.00, 90.00 degrees
Space group Pm-3m (No. 221)
Inequivalent atoms, fractional coordinates:
Zn (0.0000, 0.0000, 0.0000)
Rh (0.5000, 0.5000, 0.5000)
F (0.0000, 0.5000, 0.5000)

=====

Entry 3:
This entry pairs a crystal structure of SbRu3F with its computed XRD peak list. Radiation: λ = 1.5418 Å (Cu Kα). Structure: a GGA-PBE-relaxed structure.

Principal peaks in the range 2θ from 10° to 80°, in order of rising 2θ:
d 3.013, I 2
d 2.460, I 100
d 2.131, I 59
d 1.507, I 38
d 1.285, I 38
d 1.230, I 13

Structure:
Cell lengths 4.2611, 4.2611, 4.2611 Å; angles 90.00, 90.00, 90.00 degrees
Space group Pm-3m (No. 221)
Inequivalent atoms, fractional coordinates:
Sb (0.0000, 0.0000, 0.0000)
Ru (0.0000, 0.5000, 0.5000)
F (0.5000, 0.5000, 0.5000)

=====

Entry 4:
This entry pairs a crystal structure of Sr2Ru2F with its computed XRD peak list. Radiation: λ = 1.5418 Å (Cu Kα). Structure: a GGA-PBE-relaxed structure.

Principal peaks in the range 2θ from 10° to 80°, in order of rising 2θ:
d 8.567, I 100
d 3.536, I 35
d 2.856, I 34
d 2.487, I 37
d 2.449, I 68
d 2.194, I 79

Structure:
Cell lengths 3.6138, 3.6138, 17.1337 Å; angles 90.00, 90.00, 90.00 degrees
Space group I4/mmm (No. 139)
Inequivalent atoms, fractional coordinates:
Sr (0.0000, 0.0000, 0.1052)
Ru (0.0000, 0.5000, 0.2500)
F (0.0000, 0.0000, 0.5000)

=====

Entry 5:
This entry pairs a crystal structure of SrRu2F11 with its computed XRD peak list. Radiation: λ = 1.5418 Å (Cu Kα). Structure: a GGA-PBE-relaxed structure.

Principal peaks in the range 2θ from 10° to 80°, in order of rising 2θ:
d 5.393, I 33
d 4.136, I 66
d 3.813, I 100
d 3.481, I 47
d 2.068, I 30
d 1.996, I 32

Structure:
Cell lengths 9.0992, 9.1299, 10.7853 Å; angles 90.00, 90.00, 90.00 degrees
Space group Ibam (No. 72)
Inequivalent atoms, fractional coordinates:
Sr (0.0000, 0.0000, 0.2500)
Ru (0.1573, 0.3422, 0.0000)
F (0.0000, 0.5000, 0.0000)
F (0.0551, 0.2337, 0.1260)
F (0.1990, 0.3016, 0.5000)
F (0.2337, 0.0559, 0.3740)